This entry pairs a crystal structure of Nd2Th3Te8 with its theoretical powder X-ray diffraction pattern. Radiation: Cu Kα X-rays. Structure: a structure optimized by DFT (GGA-PBE).

Cell and atoms:
Unit cell a=9.387 b=9.387 c=5.452 alpha=90.00 beta=90.00 gamma=109.94
Element x y z (fractional)
Nd1 0.235 0.765 0.000
Nd2 0.765 0.235 0.000
Th1 0.238 0.238 0.500
Th2 0.500 0.500 0.000
Th3 0.762 0.762 0.500
Te1 0.127 0.873 0.500
Te2 0.136 0.382 0.000
Te3 0.382 0.136 0.000
Te4 0.383 0.617 0.500
Te5 0.617 0.383 0.500
Te6 0.618 0.864 0.000
Te7 0.864 0.618 0.000
Te8 0.873 0.127 0.500

Largest 10 diffraction maxima, sorted by position, 10° ≤ 2θ ≤ 90°:
- 2θ = 11.51°, rel. 13
- 2θ = 19.97°, rel. 12
- 2θ = 20.12°, rel. 11
- 2θ = 32.85°, rel. 26
- 2θ = 33.01°, rel. 100
- 2θ = 33.25°, rel. 25
- 2θ = 47.44°, rel. 18
- 2θ = 58.76°, rel. 28
- 2θ = 59.26°, rel. 18
- 2θ = 78.73°, rel. 11


This entry pairs a crystal structure of NaMg3In4 with its theoretical powder X-ray diffraction pattern. Radiation: Cu Kα X-rays. Structure: a structure optimized by DFT (GGA-PBE).

Cell and atoms:
Unit cell a=10.568 b=6.820 c=5.365 alpha=90.00 beta=90.00 gamma=90.00
Element x y z (fractional)
Na1 0.000 0.000 0.000
Na2 0.500 0.000 0.000
Mg1 0.000 0.500 0.000
Mg2 0.250 0.000 0.394
Mg3 0.250 0.500 0.372
Mg4 0.500 0.500 0.000
Mg5 0.750 0.000 0.606
Mg6 0.750 0.500 0.628
In1 0.000 0.257 0.500
In2 0.000 0.743 0.500
In3 0.250 0.255 0.888
In4 0.250 0.745 0.888
In5 0.500 0.257 0.500
In6 0.500 0.743 0.500
In7 0.750 0.255 0.112
In8 0.750 0.745 0.112

Largest 10 diffraction maxima, sorted by position, 10° ≤ 2θ ≤ 90°:
- 2θ = 18.55°, rel. 14
- 2θ = 23.63°, rel. 60
- 2θ = 26.13°, rel. 30
- 2θ = 32.24°, rel. 18
- 2θ = 33.40°, rel. 13
- 2θ = 33.93°, rel. 37
- 2θ = 34.50°, rel. 17
- 2θ = 35.52°, rel. 100
- 2θ = 43.32°, rel. 15
- 2θ = 61.75°, rel. 19


This entry pairs a crystal structure of Nd3Ga11 with its theoretical powder X-ray diffraction pattern. Radiation: Cu Kα X-rays. Structure: a structure optimized by DFT (GGA-PBE).

Cell and atoms:
Unit cell a=8.542 b=8.542 c=8.542 alpha=150.97 beta=106.80 gamma=80.60
Element x y z (fractional)
Nd1 0.000 0.000 0.000
Nd2 0.324 0.324 0.000
Nd3 0.676 0.676 0.000
Ga1 0.040 0.666 0.375
Ga2 0.126 0.855 0.271
Ga3 0.279 0.500 0.779
Ga4 0.291 0.666 0.625
Ga5 0.416 0.145 0.271
Ga6 0.500 0.000 0.500
Ga7 0.584 0.855 0.729
Ga8 0.709 0.334 0.375
Ga9 0.721 0.500 0.221
Ga10 0.874 0.145 0.729
Ga11 0.960 0.334 0.625

Largest 10 diffraction maxima, sorted by position, 10° ≤ 2θ ≤ 90°:
- 2θ = 29.29°, rel. 13
- 2θ = 33.50°, rel. 19
- 2θ = 33.69°, rel. 24
- 2θ = 34.28°, rel. 100
- 2θ = 36.48°, rel. 10
- 2θ = 41.59°, rel. 23
- 2θ = 42.21°, rel. 27
- 2θ = 60.75°, rel. 15
- 2θ = 62.63°, rel. 12
- 2θ = 72.08°, rel. 11


This entry pairs a crystal structure of SrCd2TeO2 with its theoretical powder X-ray diffraction pattern. Radiation: Cu Kα X-rays. Structure: a structure optimized by DFT (GGA-PBE).

Cell and atoms:
Unit cell a=8.343 b=6.284 c=8.712 alpha=90.00 beta=110.23 gamma=90.00
Element x y z (fractional)
Sr1 0.080 0.250 0.427
Sr2 0.920 0.750 0.573
Cd1 0.220 0.250 0.843
Cd2 0.353 0.750 0.730
Cd3 0.647 0.250 0.270
Cd4 0.780 0.750 0.157
Te1 0.303 0.250 0.171
Te2 0.697 0.750 0.829
O1 0.162 0.000 0.660
O2 0.162 0.500 0.660
O3 0.838 0.000 0.340
O4 0.838 0.500 0.340

Largest 10 diffraction maxima, sorted by position, 10° ≤ 2θ ≤ 90°:
- 2θ = 12.67°, rel. 91
- 2θ = 17.80°, rel. 83
- 2θ = 18.10°, rel. 95
- 2θ = 18.99°, rel. 83
- 2θ = 21.74°, rel. 32
- 2θ = 22.72°, rel. 35
- 2θ = 28.42°, rel. 90
- 2θ = 34.01°, rel. 100
- 2θ = 35.31°, rel. 90
- 2θ = 47.20°, rel. 30


This entry pairs a crystal structure of PbC8N6 with its theoretical powder X-ray diffraction pattern. Radiation: Cu Kα X-rays. Structure: a structure optimized by DFT (GGA-PBE).

Cell and atoms:
Unit cell a=8.492 b=5.814 c=11.523 alpha=90.00 beta=90.00 gamma=90.00
Element x y z (fractional)
Pb1 0.000 0.000 0.000
Pb2 0.500 0.000 0.500
C1 0.000 0.406 0.261
C2 0.000 0.411 0.660
C3 0.000 0.589 0.340
C4 0.000 0.594 0.739
C5 0.142 0.317 0.621
C6 0.142 0.683 0.379
C7 0.358 0.317 0.879
C8 0.358 0.683 0.121
C9 0.500 0.406 0.239
C10 0.500 0.411 0.840
C11 0.500 0.589 0.160
C12 0.500 0.594 0.761
C13 0.642 0.317 0.879
C14 0.642 0.683 0.121
C15 0.858 0.317 0.621
C16 0.858 0.683 0.379
N1 0.000 0.251 0.195
N2 0.000 0.749 0.805
N3 0.239 0.239 0.913
N4 0.239 0.761 0.087
N5 0.261 0.239 0.587
N6 0.261 0.761 0.413
N7 0.500 0.251 0.305
N8 0.500 0.749 0.695
N9 0.739 0.239 0.587
N10 0.739 0.761 0.413
N11 0.761 0.239 0.913
N12 0.761 0.761 0.087

Largest 10 diffraction maxima, sorted by position, 10° ≤ 2θ ≤ 90°:
- 2θ = 12.95°, rel. 80
- 2θ = 15.38°, rel. 26
- 2θ = 20.05°, rel. 100
- 2θ = 20.92°, rel. 20
- 2θ = 21.72°, rel. 45
- 2θ = 25.45°, rel. 28
- 2θ = 26.01°, rel. 21
- 2θ = 29.80°, rel. 23
- 2θ = 30.33°, rel. 38
- 2θ = 33.50°, rel. 22


This entry pairs a crystal structure of BaTm4Pb5 with its theoretical powder X-ray diffraction pattern. Radiation: Cu Kα X-rays. Structure: a structure optimized by DFT (GGA-PBE).

Cell and atoms:
Unit cell a=4.030 b=4.030 c=18.426 alpha=90.00 beta=90.00 gamma=90.00
Element x y z (fractional)
Ba1 0.000 0.000 0.000
Tm1 0.000 0.000 0.220
Tm2 0.000 0.000 0.407
Tm3 0.000 0.000 0.593
Tm4 0.000 0.000 0.780
Pb1 0.500 0.500 0.129
Pb2 0.500 0.500 0.313
Pb3 0.500 0.500 0.500
Pb4 0.500 0.500 0.687
Pb5 0.500 0.500 0.871

Largest 10 diffraction maxima, sorted by position, 10° ≤ 2θ ≤ 90°:
- 2θ = 31.39°, rel. 77
- 2θ = 32.94°, rel. 100
- 2θ = 36.80°, rel. 24
- 2θ = 44.99°, rel. 29
- 2θ = 56.87°, rel. 43
- 2θ = 59.47°, rel. 12
- 2θ = 64.53°, rel. 13
- 2θ = 65.52°, rel. 10
- 2θ = 74.45°, rel. 13
- 2θ = 75.30°, rel. 10


This entry pairs a crystal structure of DyMg4Sc3 with its theoretical powder X-ray diffraction pattern. Radiation: Cu Kα X-rays. Structure: a structure optimized by DFT (GGA-PBE).

Cell and atoms:
Unit cell a=10.313 b=7.283 c=5.157 alpha=90.00 beta=90.00 gamma=90.00
Element x y z (fractional)
Dy1 0.000 0.000 0.000
Dy2 0.500 0.000 0.000
Mg1 0.000 0.259 0.500
Mg2 0.000 0.741 0.500
Mg3 0.250 0.259 0.004
Mg4 0.250 0.741 0.004
Mg5 0.500 0.259 0.500
Mg6 0.500 0.741 0.500
Mg7 0.750 0.259 0.996
Mg8 0.750 0.741 0.996
Sc1 0.000 0.500 0.000
Sc2 0.250 0.000 0.503
Sc3 0.250 0.500 0.504
Sc4 0.500 0.500 0.000
Sc5 0.750 0.000 0.497
Sc6 0.750 0.500 0.496

Largest 10 diffraction maxima, sorted by position, 10° ≤ 2θ ≤ 90°:
- 2θ = 12.15°, rel. 14
- 2θ = 17.19°, rel. 15
- 2θ = 21.11°, rel. 19
- 2θ = 24.42°, rel. 30
- 2θ = 27.35°, rel. 11
- 2θ = 34.81°, rel. 100
- 2θ = 41.07°, rel. 11
- 2θ = 50.05°, rel. 17
- 2θ = 56.45°, rel. 11
- 2θ = 62.41°, rel. 34


This entry pairs a crystal structure of Cs3CuSn2I9 with its theoretical powder X-ray diffraction pattern. Radiation: Cu Kα X-rays. Structure: a structure optimized by DFT (GGA-PBE).

Cell and atoms:
Unit cell a=8.526 b=8.526 c=10.471 alpha=90.00 beta=90.00 gamma=120.00
Element x y z (fractional)
Cs1 0.000 0.000 0.000
Cs2 0.333 0.667 0.664
Cs3 0.667 0.333 0.336
Cu1 0.000 0.000 0.500
Sn1 0.333 0.667 0.185
Sn2 0.667 0.333 0.815
I1 0.000 0.500 0.000
I2 0.158 0.317 0.343
I3 0.158 0.842 0.343
I4 0.317 0.158 0.657
I5 0.500 0.000 0.000
I6 0.500 0.500 0.000
I7 0.683 0.842 0.343
I8 0.842 0.158 0.657
I9 0.842 0.683 0.657

Largest 10 diffraction maxima, sorted by position, 10° ≤ 2θ ≤ 90°:
- 2θ = 14.68°, rel. 15
- 2θ = 20.82°, rel. 16
- 2θ = 25.57°, rel. 86
- 2θ = 29.61°, rel. 100
- 2θ = 42.37°, rel. 73
- 2θ = 50.13°, rel. 29
- 2θ = 52.57°, rel. 19
- 2θ = 69.63°, rel. 15
- 2θ = 69.75°, rel. 16
- 2θ = 77.54°, rel. 18


This entry pairs a crystal structure of Na3PrNd2Se6 with its theoretical powder X-ray diffraction pattern. Radiation: Cu Kα X-rays. Structure: a structure optimized by DFT (GGA-PBE).

Cell and atoms:
Unit cell a=7.442 b=7.442 c=7.438 alpha=99.60 beta=99.60 gamma=120.00
Element x y z (fractional)
Na1 0.000 0.000 0.000
Na2 0.333 0.667 0.000
Na3 0.667 0.333 0.000
Pr1 0.500 0.500 0.500
Nd1 0.167 0.833 0.500
Nd2 0.833 0.167 0.500
Se1 0.086 0.421 0.263
Se2 0.244 0.244 0.737
Se3 0.421 0.086 0.263
Se4 0.579 0.914 0.737
Se5 0.756 0.756 0.263
Se6 0.914 0.579 0.737

Largest 10 diffraction maxima, sorted by position, 10° ≤ 2θ ≤ 90°:
- 2θ = 12.62°, rel. 39
- 2θ = 24.29°, rel. 20
- 2θ = 29.40°, rel. 100
- 2θ = 38.51°, rel. 11
- 2θ = 42.07°, rel. 74
- 2θ = 44.09°, rel. 11
- 2θ = 52.15°, rel. 26
- 2θ = 61.01°, rel. 12
- 2θ = 69.15°, rel. 33
- 2θ = 76.87°, rel. 24


This entry pairs a crystal structure of In4Te3I with its theoretical powder X-ray diffraction pattern. Radiation: Cu Kα X-rays. Structure: a structure optimized by DFT (GGA-PBE).

Cell and atoms:
Unit cell a=4.176 b=7.461 c=10.093 alpha=111.65 beta=101.83 gamma=90.03
Element x y z (fractional)
In1 0.000 0.000 0.000
In2 0.000 0.474 0.000
In3 0.716 0.189 0.438
In4 0.718 0.722 0.438
Te1 0.141 0.378 0.283
Te2 0.427 0.164 0.854
Te3 0.558 0.796 0.118
I1 0.862 0.598 0.722

Largest 10 diffraction maxima, sorted by position, 10° ≤ 2θ ≤ 90°:
- 2θ = 21.83°, rel. 23
- 2θ = 26.33°, rel. 90
- 2θ = 27.14°, rel. 47
- 2θ = 30.93°, rel. 69
- 2θ = 32.55°, rel. 37
- 2θ = 35.47°, rel. 100
- 2θ = 40.72°, rel. 66
- 2θ = 43.34°, rel. 28
- 2θ = 43.49°, rel. 19
- 2θ = 65.37°, rel. 35


This entry pairs a crystal structure of Pm2PrHoTl4 with its theoretical powder X-ray diffraction pattern. Radiation: Cu Kα X-rays. Structure: a structure optimized by DFT (GGA-PBE).

Cell and atoms:
Unit cell a=9.500 b=9.500 c=9.500 alpha=33.46 beta=33.46 gamma=33.46
Element x y z (fractional)
Pm1 0.249 0.249 0.249
Pm2 0.751 0.751 0.751
Pr1 0.000 0.000 0.000
Ho1 0.500 0.500 0.500
Tl1 0.127 0.127 0.127
Tl2 0.377 0.377 0.377
Tl3 0.623 0.623 0.623
Tl4 0.873 0.873 0.873

Largest 10 diffraction maxima, sorted by position, 10° ≤ 2θ ≤ 90°:
- 2θ = 22.97°, rel. 2
- 2θ = 32.71°, rel. 100
- 2θ = 46.94°, rel. 18
- 2θ = 58.27°, rel. 10
- 2θ = 58.43°, rel. 29
- 2θ = 68.47°, rel. 6
- 2θ = 68.65°, rel. 6
- 2θ = 78.00°, rel. 8
- 2θ = 78.12°, rel. 8
- 2θ = 87.31°, rel. 3


This entry pairs a crystal structure of SrGa6Ni2 with its theoretical powder X-ray diffraction pattern. Radiation: Cu Kα X-rays. Structure: a structure optimized by DFT (GGA-PBE).

Cell and atoms:
Unit cell a=8.363 b=8.363 c=8.363 alpha=60.00 beta=60.00 gamma=60.00
Element x y z (fractional)
Sr1 0.125 0.125 0.125
Sr2 0.875 0.875 0.875
Ga1 0.161 0.161 0.589
Ga2 0.161 0.589 0.161
Ga3 0.161 0.589 0.589
Ga4 0.411 0.411 0.839
Ga5 0.411 0.839 0.411
Ga6 0.411 0.839 0.839
Ga7 0.589 0.161 0.161
Ga8 0.589 0.161 0.589
Ga9 0.589 0.589 0.161
Ga10 0.839 0.411 0.411
Ga11 0.839 0.411 0.839
Ga12 0.839 0.839 0.411
Ni1 0.000 0.500 0.500
Ni2 0.500 0.000 0.500
Ni3 0.500 0.500 0.000
Ni4 0.500 0.500 0.500

Largest 10 diffraction maxima, sorted by position, 10° ≤ 2θ ≤ 90°:
- 2θ = 12.97°, rel. 25
- 2θ = 24.97°, rel. 64
- 2θ = 26.10°, rel. 15
- 2θ = 30.23°, rel. 53
- 2θ = 33.01°, rel. 16
- 2θ = 39.60°, rel. 31
- 2θ = 43.27°, rel. 100
- 2θ = 55.48°, rel. 15
- 2θ = 60.09°, rel. 37
- 2θ = 84.79°, rel. 16